(1)
Starting from a cell relaxed with GGA-PBE, the X-ray powder pattern of Re2O7 was computed for copper Kα.

Structure:
```
Re2O7
1.0
8.4707 -3.5572 0.0000
8.4707 3.5572 0.0000
0.0000 0.0000 6.9514
Re O
4 14
Cartesian
6.7795 1.9713 3.4757
10.1619 1.9713 3.4757
6.7795 -1.9713 0.0000
10.1619 -1.9713 0.0000
5.3983 1.7160 4.4687
1.6175 0.0837 3.0339
1.6175 -0.0837 6.5096
6.5727 1.0663 2.0199
8.4707 1.5079 4.2411
11.5432 1.7160 4.4687
10.3688 1.0663 2.0199
6.5727 -1.0663 5.4957
5.3983 -1.7160 0.9930
8.4707 -1.5079 0.7654
10.3688 -1.0663 5.4957
15.3240 0.0837 3.0339
15.3240 -0.0837 6.5096
11.5432 -1.7160 0.9930
```

The 10 most intense peaks (2θ = 10–90°), in order of falling intensity:
Position (°2θ)	intensity
18.60	100
31.96	30
20.97	22
25.03	17
25.63	14
10.44	14
49.34	11
40.54	11
33.35	9
36.13	9

---

(2)
Starting from a cell relaxed with GGA-PBE, the X-ray powder pattern of ReO3 was computed for copper Kα.

Structure:
```
ReO3
1.0
-3.7925 3.7925 3.7925
3.7925 -3.7925 3.7925
3.7925 3.7925 -3.7925
Re O
4 12
Cartesian
1.8963 1.8963 -1.8963
1.8963 -1.8963 1.8963
-1.8963 1.8963 1.8963
1.8963 1.8963 1.8963
3.7925 1.9619 -1.8327
1.9599 0.0000 1.8307
5.6252 0.0000 1.8307
1.8307 1.9599 0.0000
1.9619 -1.8327 3.7925
0.0000 1.8307 1.9599
3.7925 1.9619 1.8327
1.8307 5.6252 0.0000
1.9619 1.8327 3.7925
-1.8327 3.7925 1.9619
1.8327 3.7925 1.9619
0.0000 1.8307 5.6252
```

The 10 most intense peaks (2θ = 10–90°), in order of falling intensity:
Position (°2θ)	intensity
23.46	100
33.41	56
54.07	41
59.72	23
47.98	19
75.15	19
41.23	14
70.19	11
80.00	10
84.78	7